(1)
This entry pairs a crystal structure of BaHgSO with its theoretical X-ray diffraction stick pattern. Radiation: Cu Ka. Structure: the GGA-PBE geometry in OQMD.
No peak broadening, texture or thermal motion is included.

Largest 8 diffraction maxima, sorted by position, 2θ from 10° to 80°:
d_spacing  I/Imax
3.452  59
3.218  100
3.201  48
2.879  75
2.426  27
2.275  28
1.774  49
1.629  27

a = 7.6822 Å, b = 7.6822 Å, c = 6.4333 Å
α = 90.00°, β = 90.00°, γ = 147.83°
Atoms (fractional coordinates):
Ba  0.1511  0.8489  0.5000
Ba  0.8489  0.1511  0.0000
Hg  0.4251  0.5749  0.5448
Hg  0.5749  0.4251  0.0448
S  0.1743  0.8257  0.9971
S  0.8257  0.1743  0.4971
O  0.4359  0.5641  0.9233
O  0.5641  0.4359  0.4233

=====

(2)
This entry pairs a crystal structure of BaHgSO with its theoretical X-ray diffraction stick pattern. Radiation: Cu Ka. Structure: the GGA-PBE geometry in OQMD.
No peak broadening, texture or thermal motion is included.

Largest 8 diffraction maxima, sorted by position, 2θ from 10° to 80°:
d_spacing  I/Imax
5.534  25
3.689  60
3.330  21
2.849  100
2.602  62
2.085  34
2.018  36
1.815  33

a = 4.1702 Å, b = 4.1702 Å, c = 11.0679 Å
α = 90.00°, β = 90.00°, γ = 90.00°
Atoms (fractional coordinates):
Ba  0.2500  0.2500  0.1477
Ba  0.7500  0.7500  0.8523
Hg  0.2500  0.7500  0.5000
Hg  0.7500  0.2500  0.5000
S  0.2500  0.2500  0.7539
S  0.7500  0.7500  0.2461
O  0.2500  0.2500  0.9116
O  0.7500  0.7500  0.0884

=====

(3)
This entry pairs a crystal structure of BaHgTeO with its theoretical X-ray diffraction stick pattern. Radiation: Cu Ka. Structure: the GGA-PBE geometry in OQMD.
No peak broadening, texture or thermal motion is included.

Largest 8 diffraction maxima, sorted by position, 2θ from 10° to 80°:
d_spacing  I/Imax
4.424  23
3.424  22
3.408  22
3.144  48
3.120  100
2.327  19
2.058  32
2.042  46

a = 7.5994 Å, b = 7.6504 Å, c = 7.7388 Å
α = 90.00°, β = 90.00°, γ = 90.00°
Atoms (fractional coordinates):
Ba  0.1096  0.1008  0.3924
Ba  0.3904  0.8992  0.8924
Ba  0.6096  0.3992  0.6076
Ba  0.8904  0.6008  0.1076
Hg  0.1826  0.3229  0.8020
Hg  0.3174  0.6771  0.3020
Hg  0.6826  0.1771  0.1980
Hg  0.8174  0.8229  0.6980
Te  0.1353  0.6408  0.6258
Te  0.3647  0.3592  0.1258
Te  0.6353  0.8592  0.3742
Te  0.8647  0.1408  0.8742
O  0.1478  0.8472  0.1459
O  0.3522  0.1528  0.6459
O  0.6478  0.6528  0.8541
O  0.8522  0.3472  0.3541

=====

(4)
This entry pairs a crystal structure of Ba2ZnHgTe2O2 with its theoretical X-ray diffraction stick pattern. Radiation: Cu Ka. Structure: the GGA-PBE geometry in OQMD.
No peak broadening, texture or thermal motion is included.

Largest 8 diffraction maxima, sorted by position, 2θ from 10° to 80°:
d_spacing  I/Imax
3.669  95
3.301  81
3.275  34
2.876  100
2.487  40
2.206  87
1.896  31
1.830  38

a = 4.4127 Å, b = 4.4127 Å, c = 13.1013 Å
α = 90.00°, β = 90.00°, γ = 120.00°
Atoms (fractional coordinates):
Ba  0.0000  0.0000  0.0000
Ba  0.3333  0.6667  0.4856
Zn  0.6667  0.3333  0.2895
Hg  0.6667  0.3333  0.7873
Te  0.0000  0.0000  0.6925
Te  0.3333  0.6667  0.2115
O  0.6667  0.3333  0.4361
O  0.6667  0.3333  0.9564

=====

(5)
This entry pairs a crystal structure of BaHgSb2Pb with its theoretical X-ray diffraction stick pattern. Radiation: Cu Ka. Structure: the GGA-PBE geometry in OQMD.
No peak broadening, texture or thermal motion is included.

Largest 8 diffraction maxima, sorted by position, 2θ from 10° to 80°:
d_spacing  I/Imax
3.477  24
3.428  48
2.977  87
2.939  63
2.925  27
2.883  39
2.686  100
2.450  55

a = 9.6862 Å, b = 9.6862 Å, c = 7.4894 Å
α = 90.00°, β = 90.00°, γ = 150.69°
Atoms (fractional coordinates):
Ba  0.1886  0.8114  0.5000
Ba  0.8114  0.1886  0.0000
Hg  0.3864  0.6136  0.3468
Hg  0.6136  0.3864  0.8468
Sb  0.1758  0.8242  0.9949
Sb  0.4492  0.5508  0.9863
Sb  0.5508  0.4492  0.4863
Sb  0.8242  0.1758  0.4949
Pb  0.0270  0.9730  0.1790
Pb  0.9730  0.0270  0.6790

=====

(6)
This entry pairs a crystal structure of Ba2Sn5Hg with its theoretical X-ray diffraction stick pattern. Radiation: Cu Ka. Structure: the GGA-PBE geometry in OQMD.
No peak broadening, texture or thermal motion is included.

Largest 8 diffraction maxima, sorted by position, 2θ from 10° to 80°:
d_spacing  I/Imax
3.164  28
2.765  58
2.736  100
2.723  39
2.064  17
1.844  17
1.575  19
1.527  19

a = 5.4465 Å, b = 7.3776 Å, c = 7.3776 Å
α = 59.07°, β = 90.00°, γ = 90.00°
Atoms (fractional coordinates):
Ba  0.0000  0.0000  0.0000
Ba  0.5000  0.3366  0.3366
Sn  0.0000  0.5278  0.9485
Sn  0.0000  0.5317  0.5317
Sn  0.0000  0.9485  0.5278
Sn  0.5000  0.3887  0.8120
Sn  0.5000  0.8120  0.3887
Hg  0.5000  0.8302  0.8302

=====

(7)
This entry pairs a crystal structure of Ba2ZnSn2Hg with its theoretical X-ray diffraction stick pattern. Radiation: Cu Ka. Structure: the GGA-PBE geometry in OQMD.
No peak broadening, texture or thermal motion is included.

Largest 8 diffraction maxima, sorted by position, 2θ from 10° to 80°:
d_spacing  I/Imax
3.205  100
2.456  17
2.442  51
1.942  24
1.732  36
1.527  11
1.520  22
1.223  12

a = 4.8833 Å, b = 4.8833 Å, c = 9.8251 Å
α = 90.00°, β = 90.00°, γ = 120.00°
Atoms (fractional coordinates):
Ba  0.0000  0.0000  0.2473
Ba  0.0000  0.0000  0.7527
Zn  0.6667  0.3333  0.0000
Sn  0.3333  0.6667  0.0000
Sn  0.6667  0.3333  0.5000
Hg  0.3333  0.6667  0.5000

=====

(8)
This entry pairs a crystal structure of BaHgTe2 with its theoretical X-ray diffraction stick pattern. Radiation: Cu Ka. Structure: the GGA-PBE geometry in OQMD.
No peak broadening, texture or thermal motion is included.

Largest 8 diffraction maxima, sorted by position, 2θ from 10° to 80°:
d_spacing  I/Imax
3.747  26
3.499  100
3.371  27
3.113  47
2.737  30
2.346  32
2.325  72
1.874  29

a = 4.6913 Å, b = 8.1454 Å, c = 8.1454 Å
α = 99.70°, β = 90.00°, γ = 90.00°
Atoms (fractional coordinates):
Ba  0.0000  0.2102  0.7898
Ba  0.0000  0.7898  0.2102
Hg  0.5000  0.3188  0.3188
Hg  0.5000  0.7260  0.7260
Te  0.0000  0.4714  0.4714
Te  0.5000  0.0533  0.0533
Te  0.5000  0.5217  0.9559
Te  0.5000  0.9559  0.5217